No. 1
Diffraction record for RbCrP2O7. The powder X-ray diffraction pattern is calculated, not measured: it uses a cell relaxed with GGA+U and λ = 1.5418 Å (Cu Kα).

Cell and atoms:
abc: 7.5986 10.0672 8.3726
angles: 90.00 105.99 90.00
Fractional coordinates of all 44 atoms:
Rb (0.1863, 0.1884, 0.0494)
Rb (0.1863, 0.3116, 0.5494)
Rb (0.8137, 0.6884, 0.4506)
Rb (0.8137, 0.8116, 0.9506)
Cr (0.2380, 0.6010, 0.2604)
Cr (0.2380, 0.8990, 0.7604)
Cr (0.7620, 0.1010, 0.2396)
Cr (0.7620, 0.3990, 0.7396)
P (0.1313, 0.5959, 0.8322)
P (0.1313, 0.9041, 0.3322)
P (0.4334, 0.6327, 0.6878)
P (0.4334, 0.8673, 0.1878)
P (0.5666, 0.1327, 0.8122)
P (0.5666, 0.3673, 0.3122)
P (0.8687, 0.0959, 0.6678)
P (0.8687, 0.4041, 0.1678)
O (0.0087, 0.5013, 0.2737)
O (0.0087, 0.9987, 0.7737)
O (0.0866, 0.7361, 0.7581)
O (0.0866, 0.7639, 0.2581)
O (0.1471, 0.5889, 0.0150)
O (0.1471, 0.9111, 0.5150)
O (0.3203, 0.6051, 0.5110)
O (0.3203, 0.8949, 0.0110)
O (0.3286, 0.5535, 0.8064)
O (0.3286, 0.9465, 0.3064)
O (0.3726, 0.0755, 0.7677)
O (0.3726, 0.4245, 0.2677)
O (0.4446, 0.7201, 0.2407)
O (0.4446, 0.7799, 0.7407)
O (0.5554, 0.2201, 0.2593)
O (0.5554, 0.2799, 0.7593)
O (0.6274, 0.5755, 0.7323)
O (0.6274, 0.9245, 0.2323)
O (0.6714, 0.0535, 0.6936)
O (0.6714, 0.4465, 0.1936)
O (0.6797, 0.1051, 0.9890)
O (0.6797, 0.3949, 0.4890)
O (0.8529, 0.0889, 0.4850)
O (0.8529, 0.4111, 0.9850)
O (0.9134, 0.2361, 0.7419)
O (0.9134, 0.2639, 0.2419)
O (0.9913, 0.0013, 0.2263)
O (0.9913, 0.4987, 0.7263)

Most intense lines, 10 to 80 degrees two-theta, low angle first:
| two_theta | Rel. int. |
| --- | --- |
| 23.8 | 279 |
| 25.7 | 317 |
| 28.4 | 343 |
| 29.3 | 505 |
| 29.5 | 1000 |
| 29.8 | 738 |

=====

No. 2
Diffraction record for Cr3SbP6O24. The powder X-ray diffraction pattern is calculated, not measured: it uses a cell relaxed with GGA+U and λ = 1.5418 Å (Cu Kα).

Cell and atoms:
abc: 8.8171 8.8171 8.8171
angles: 58.28 58.28 58.28
Fractional coordinates of all 34 atoms:
Cr (0.0000, 0.0000, 0.0000)
Cr (0.2130, 0.2130, 0.2130)
Cr (0.7140, 0.7140, 0.7140)
Sb (0.4990, 0.4990, 0.4990)
P (0.1035, 0.8242, 0.3902)
P (0.3200, 0.6070, 0.8954)
P (0.3902, 0.1035, 0.8242)
P (0.6070, 0.8954, 0.3200)
P (0.8242, 0.3902, 0.1035)
P (0.8954, 0.3200, 0.6070)
O (0.0761, 0.2925, 0.4335)
O (0.0763, 0.8497, 0.2190)
O (0.1382, 0.7802, 0.9221)
O (0.1379, 0.9908, 0.3643)
O (0.2190, 0.0763, 0.8497)
O (0.2790, 0.6370, 0.4129)
O (0.2925, 0.4335, 0.0761)
O (0.3374, 0.5844, 0.7216)
O (0.3643, 0.1379, 0.9908)
O (0.4129, 0.2790, 0.6370)
O (0.4335, 0.0761, 0.2925)
O (0.4934, 0.6341, 0.8632)
O (0.5714, 0.9313, 0.7959)
O (0.5844, 0.7216, 0.3374)
O (0.6341, 0.8632, 0.4934)
O (0.6370, 0.4129, 0.2790)
O (0.7216, 0.3374, 0.5844)
O (0.7802, 0.9221, 0.1382)
O (0.7959, 0.5714, 0.9313)
O (0.8497, 0.2190, 0.0763)
O (0.8632, 0.4934, 0.6341)
O (0.9221, 0.1382, 0.7802)
O (0.9313, 0.7959, 0.5714)
O (0.9908, 0.3643, 0.1379)

Most intense lines, 10 to 80 degrees two-theta, low angle first:
| two_theta | Rel. int. |
| --- | --- |
| 14.4 | 554 |
| 20.2 | 833 |
| 20.7 | 473 |
| 24.1 | 1000 |
| 29.0 | 607 |
| 32.2 | 428 |

=====

Copy entry 2 word for word.
Diffraction record for Cr3SbP6O24. The powder X-ray diffraction pattern is calculated, not measured: it uses a cell relaxed with GGA+U and λ = 1.5418 Å (Cu Kα).

Cell and atoms:
abc: 8.8171 8.8171 8.8171
angles: 58.28 58.28 58.28
Fractional coordinates of all 34 atoms:
Cr (0.0000, 0.0000, 0.0000)
Cr (0.2130, 0.2130, 0.2130)
Cr (0.7140, 0.7140, 0.7140)
Sb (0.4990, 0.4990, 0.4990)
P (0.1035, 0.8242, 0.3902)
P (0.3200, 0.6070, 0.8954)
P (0.3902, 0.1035, 0.8242)
P (0.6070, 0.8954, 0.3200)
P (0.8242, 0.3902, 0.1035)
P (0.8954, 0.3200, 0.6070)
O (0.0761, 0.2925, 0.4335)
O (0.0763, 0.8497, 0.2190)
O (0.1382, 0.7802, 0.9221)
O (0.1379, 0.9908, 0.3643)
O (0.2190, 0.0763, 0.8497)
O (0.2790, 0.6370, 0.4129)
O (0.2925, 0.4335, 0.0761)
O (0.3374, 0.5844, 0.7216)
O (0.3643, 0.1379, 0.9908)
O (0.4129, 0.2790, 0.6370)
O (0.4335, 0.0761, 0.2925)
O (0.4934, 0.6341, 0.8632)
O (0.5714, 0.9313, 0.7959)
O (0.5844, 0.7216, 0.3374)
O (0.6341, 0.8632, 0.4934)
O (0.6370, 0.4129, 0.2790)
O (0.7216, 0.3374, 0.5844)
O (0.7802, 0.9221, 0.1382)
O (0.7959, 0.5714, 0.9313)
O (0.8497, 0.2190, 0.0763)
O (0.8632, 0.4934, 0.6341)
O (0.9221, 0.1382, 0.7802)
O (0.9313, 0.7959, 0.5714)
O (0.9908, 0.3643, 0.1379)

Most intense lines, 10 to 80 degrees two-theta, low angle first:
| two_theta | Rel. int. |
| --- | --- |
| 14.4 | 554 |
| 20.2 | 833 |
| 20.7 | 473 |
| 24.1 | 1000 |
| 29.0 | 607 |
| 32.2 | 428 |